Starting from the GGA-PBE geometry in the Materials Project, the powder XRD pattern of Ba6Pr2MgRu4O18 was computed for Cu Kα X-rays.

Atomic structure:
```
data_Ba6Pr2MgRu4O18
_chemical_formula_sum 'Ba6 Pr2 Mg1 Ru4 O18'
_cell_length_a 6.0301
_cell_length_b 6.0301
_cell_length_c 15.5209
_cell_angle_alpha 90.00
_cell_angle_beta 90.00
_cell_angle_gamma 120.00
_symmetry_space_group_name_H-M 'P -6 m 2'
_symmetry_Int_Tables_number 187
_symmetry_space_group_name_Hall 'P -6 2'
loop_
_atom_site_label
_atom_site_fract_x
_atom_site_fract_y
_atom_site_fract_z
Ba1 0.0000 0.0000 0.0000
Ba2 0.0000 0.0000 0.5000
Ba3 0.3333 0.6667 0.1347
Ba4 0.6667 0.3333 0.2977
Pr1 0.0000 0.0000 0.2481
Mg1 0.6667 0.3333 0.5000
Ru1 0.3333 0.6667 0.4095
Ru2 0.6667 0.3333 0.0810
O1 0.0256 0.5128 0.5000
O2 0.1779 0.3557 0.3406
O3 0.3574 0.1787 0.1579
O4 0.5105 0.0210 0.0000
```

Most intense lines, 5° ≤ 2θ ≤ 70°, low angle first:
2θ/deg, I (rel.), hkl
28.67, 67.0, 1 0 4
29.63, 100.0, 1 1 0
41.70, 40.8, 2 0 4
51.98, 23.4, 2 1 4
52.57, 20.0, 3 0 0
61.51, 18.5, 2 2 0